1.
# CaFe2Cu2O8
Computed powder diffractogram, Cu Kα, 1.54184 Å. Input: a cell relaxed with GGA+U.
Neutral-atom scattering factors, no anomalous dispersion.

Most intense lines, 2θ from 10° to 80°, by angle:
2theta	I (rel.)	index
24.29	53	0 1 3
29.35	52	1 2 2
29.45	94	0 0 4
29.87	100	2 1 -1
31.85	67	0 3 1
33.43	39	1 0 4

abc: 6.501 8.666 12.159
angles: 90.00 93.92 90.00
Space group P2_1/c (No. 14)
One atom of each set of equivalent atoms:
Ca: 0.153 0.169 0.476 x4
Fe: 0.087 0.037 0.169 x4
Fe: 0.400 0.601 0.135 x4
Cu: 0.266 0.694 0.880 x4
Cu: 0.398 0.041 0.861 x4
O: 0.002 0.225 0.124 x4
O: 0.122 0.090 0.875 x4
O: 0.142 0.012 0.310 x4
O: 0.197 0.597 0.016 x4
O: 0.329 0.006 0.110 x4
O: 0.335 0.640 0.285 x4
O: 0.446 0.236 0.909 x4
O: 0.475 0.105 0.622 x4



2.
# Sr4CaYFeCu4PbO14
Computed powder diffractogram, Cu Kα, 1.54184 Å. Input: a cell relaxed with GGA+U.
Neutral-atom scattering factors, no anomalous dispersion.

Most intense lines, 2θ from 10° to 80°, by angle:
2theta	I (rel.)	index
27.68	25	1 1 4
32.35	100	1 1 6
33.24	76	2 0 0
45.08	19	0 0 12
47.72	42	2 2 0
58.82	43	3 1 6

abc: 5.391 5.391 24.147
angles: 90.00 90.00 90.00
Space group I-4m2 (No. 119)
One atom of each set of equivalent atoms:
Sr: 0.000 0.000 0.144 x4
Sr: 0.000 0.000 0.355 x4
Ca: 0.000 0.000 0.000 x2
Y: 0.000 0.000 0.500 x2
Fe: 0.000 0.500 0.250 x2
Cu: 0.000 0.500 0.068 x4
Cu: 0.000 0.500 0.571 x4
Pb: 0.000 0.500 0.750 x2
O: 0.000 0.000 0.249 x4
O: 0.000 0.500 0.174 x4
O: 0.000 0.500 0.661 x4
O: 0.244 0.247 0.437 x16



3.
# Ca2FeCuSO3
Computed powder diffractogram, Cu Kα, 1.54184 Å. Input: a cell relaxed with GGA+U.
Neutral-atom scattering factors, no anomalous dispersion.

Most intense lines, 2θ from 10° to 80°, by angle:
2theta	I (rel.)	index
17.85	50	0 0 3
33.24	42	2 0 1
33.35	100	1 1 -4
40.87	47	2 0 4
46.88	77	2 2 0
58.75	35	1 3 4

abc: 5.481 5.482 14.907
angles: 90.00 90.02 90.00
Space group C2/m (No. 12)
One atom of each set of equivalent atoms:
Ca: 0.250 0.000 0.086 x4
Ca: 0.250 0.000 0.312 x4
Fe: 0.250 0.000 0.808 x4
Cu: 0.000 0.249 0.500 x4
S: 0.250 0.000 0.596 x4
O: 0.000 0.250 0.214 x8
O: 0.250 0.000 0.937 x4



4.
# CaFe2Cu3Sb2O12
Computed powder diffractogram, Cu Kα, 1.54184 Å. Input: a cell relaxed with GGA+U.
Neutral-atom scattering factors, no anomalous dispersion.

Most intense lines, 2θ from 10° to 80°, by angle:
2theta	I (rel.)	index
20.23	12	1 1 1
33.34	100	2 2 0
47.87	25	4 0 0
59.59	48	4 2 2
70.02	12	4 4 0
79.80	16	6 0 2

abc: 7.601 7.601 7.601
angles: 90.00 90.00 90.00
Space group Pn-3 (No. 201, origin choice 2)
One atom of each set of equivalent atoms:
Ca: 0.250 0.250 0.250 x2
Fe: 0.000 0.000 0.000 x4
Cu: 0.250 0.250 0.750 x6
Sb: 0.000 0.000 0.500 x4
O: 0.055 0.748 0.925 x24



5.
# CaVCuHO5
Computed powder diffractogram, Cu Kα, 1.54184 Å. Input: a cell relaxed with GGA+U.
Neutral-atom scattering factors, no anomalous dispersion.

Most intense lines, 2θ from 10° to 80°, by angle:
2theta	I (rel.)	index
15.10	48	0 1 1
28.41	52	1 2 0
30.59	88	0 1 3
34.21	100	2 1 1
34.29	30	1 1 3
56.59	46	2 3 3

abc: 5.858 7.443 9.534
angles: 90.00 90.00 90.00
Space group P2_12_12_1 (No. 19)
One atom of each set of equivalent atoms:
Ca: 0.022 0.129 0.181 x4
V: 0.012 0.617 0.663 x4
Cu: 0.246 0.253 0.501 x4
H: 0.012 0.987 0.483 x4
O: 0.000 0.106 0.433 x4
O: 0.008 0.932 0.959 x4
O: 0.070 0.797 0.556 x4
O: 0.242 0.140 0.745 x4
O: 0.247 0.605 0.774 x4



6.
# Ca3La5Mn6Cu2O24
Computed powder diffractogram, Cu Kα, 1.54184 Å. Input: a cell relaxed with GGA+U.
Neutral-atom scattering factors, no anomalous dispersion.

Most intense lines, 2θ from 10° to 80°, by angle:
2theta	I (rel.)	index
32.52	100	1 1 -4
32.73	47	2 0 0
40.20	18	2 0 -4
46.95	16	2 2 0
57.88	20	2 0 -8
58.28	38	1 3 -4

abc: 5.469 5.476 15.678
angles: 89.98 89.97 89.98
Space group P1 (No. 1)
One atom of each set of equivalent atoms:
Ca: 0.000 0.000 0.000 x1
Ca: 0.066 0.019 0.760 x1
Ca: 0.569 0.499 0.757 x1
La: 0.009 0.001 0.506 x1
La: 0.055 0.017 0.258 x1
La: 0.508 0.514 0.000 x1
La: 0.509 0.517 0.507 x1
La: 0.556 0.502 0.259 x1
Mn: 0.032 0.512 0.125 x1
Mn: 0.033 0.510 0.878 x1
Mn: 0.035 0.506 0.638 x1
Mn: 0.531 0.007 0.126 x1
Mn: 0.533 0.010 0.877 x1
Mn: 0.534 0.012 0.638 x1
Cu: 0.033 0.509 0.382 x1
Cu: 0.533 0.009 0.382 x1
O: 0.013 0.593 0.758 x1
O: 0.026 0.579 0.247 x1
O: 0.041 0.440 0.517 x1
O: 0.043 0.430 0.002 x1
O: 0.255 0.786 0.105 x1
O: 0.255 0.788 0.902 x1
O: 0.259 0.784 0.612 x1
O: 0.261 0.780 0.398 x1
O: 0.304 0.280 0.364 x1
O: 0.308 0.286 0.148 x1
O: 0.315 0.290 0.656 x1
O: 0.318 0.296 0.861 x1
O: 0.511 0.926 0.758 x1
O: 0.524 0.941 0.247 x1
O: 0.541 0.078 0.516 x1
O: 0.549 0.078 0.002 x1
O: 0.756 0.733 0.900 x1
O: 0.757 0.734 0.107 x1
O: 0.758 0.733 0.613 x1
O: 0.760 0.736 0.398 x1
O: 0.803 0.239 0.149 x1
O: 0.805 0.237 0.364 x1
O: 0.812 0.231 0.860 x1
O: 0.815 0.227 0.657 x1



7.
# Ca3MnCuO6
Computed powder diffractogram, Cu Kα, 1.54184 Å. Input: a cell relaxed with GGA+U.
Neutral-atom scattering factors, no anomalous dispersion.

Most intense lines, 2θ from 10° to 80°, by angle:
2theta	I (rel.)	index
19.19	87	0 2 0
31.62	39	2 1 -3
33.48	44	2 0 0
33.59	100	1 3 0
40.45	34	2 2 -4
46.81	68	1 4 -3

abc: 6.424 9.232 10.769
angles: 90.00 123.56 90.00
Space group P2_1/c (No. 14)
One atom of each set of equivalent atoms:
Ca: 0.208 0.067 0.318 x4
Ca: 0.247 0.115 0.003 x4
Ca: 0.273 0.070 0.671 x4
Mn: 0.235 0.748 0.247 x4
Cu: 0.336 0.724 0.530 x4
O: 0.006 0.640 0.071 x4
O: 0.037 0.179 0.749 x4
O: 0.222 0.589 0.628 x4
O: 0.280 0.586 0.373 x4
O: 0.473 0.653 0.936 x4
O: 0.488 0.180 0.269 x4



8.
# CaMnCu3Ru3O12
Computed powder diffractogram, Cu Kα, 1.54184 Å. Input: a cell relaxed with GGA+U.
Neutral-atom scattering factors, no anomalous dispersion.

Most intense lines, 2θ from 10° to 80°, by angle:
2theta	I (rel.)	index
23.68	15	0 2 1
33.66	100	2 0 2
33.81	98	2 2 0
48.45	48	0 4 2
60.10	24	0 2 4
60.42	70	6 -2 2

abc: 10.6051 10.6051 6.5367
angles: 90.00 90.00 120.00
Space group R-3 (No. 148, hexagonal axes)
One atom of each set of equivalent atoms:
Ca: 0.0000 0.0000 0.0000 x3
Mn: 0.0000 0.0000 0.5000 x3
Cu: 0.0000 0.5000 0.0000 x9
Ru: 0.0000 0.5000 0.5000 x9
O: 0.0140 0.8479 0.6888 x18
O: 0.0463 0.7840 0.0917 x18